Theoretical powder diffractogram
Compound: Na2FePCO7
Radiation: a wavelength of 1.5418 Å
Structure: DFT lattice parameters and positions (GGA+U)
Neutral-atom scattering factors, no anomalous dispersion.

Cell lengths 5.304, 6.554, 8.910 Å; angles 86.95, 88.59, 89.53 degrees
Space group P-1 (No. 2)
Inequivalent atoms, fractional coordinates:
Na 0.230 0.284 0.416 (multiplicity 2)
Na 0.251 0.991 0.764 (multiplicity 2)
Fe 0.221 0.734 0.155 (multiplicity 2)
P 0.278 0.241 0.073 (multiplicity 2)
C 0.287 0.758 0.433 (multiplicity 2)
O 0.060 0.736 0.379 (multiplicity 2)
O 0.118 0.243 0.931 (multiplicity 2)
O 0.209 0.056 0.183 (multiplicity 2)
O 0.231 0.432 0.166 (multiplicity 2)
O 0.323 0.787 0.570 (multiplicity 2)
O 0.438 0.775 0.974 (multiplicity 2)
O 0.472 0.743 0.334 (multiplicity 2)

Top 8 peaks for 10 to 90 degrees two-theta, in order of rising 2θ:
| two_theta | d [Å] | I (rel.) |
| --- | --- | --- |
| 19.28 | 4.603 | 57 |
| 19.70 | 4.507 | 64 |
| 25.83 | 3.449 | 29 |
| 27.25 | 3.273 | 100 |
| 33.10 | 2.707 | 27 |
| 33.81 | 2.651 | 46 |
| 34.17 | 2.624 | 40 |
| 42.07 | 2.148 | 27 |